The following is a theoretical powder XRD pattern of Pr2MgCd. It was derived from a structure optimized by DFT (GGA-PBE), using Cu Kα (λ = 1.5418 Å).
Neutral-atom scattering factors, no anomalous dispersion.

Largest 8 diffraction maxima, sorted by position, 10 to 80 degrees two-theta:
2theta	I_rel
19.75	10
22.85	14
32.53	100
46.67	18
52.57	6
58.04	37
68.14	11
77.56	16

Atomic structure:
```
Pr2MgCd
1.0
7.7850 0.0000 0.0000
0.0000 7.7850 0.0000
0.0000 0.0000 7.7850
Pr Mg Cd
8 4 4
Direct
0.2500 0.2500 0.2500
0.2500 0.2500 0.7500
0.2500 0.7500 0.2500
0.2500 0.7500 0.7500
0.7500 0.2500 0.2500
0.7500 0.2500 0.7500
0.7500 0.7500 0.2500
0.7500 0.7500 0.7500
0.0000 0.0000 0.0000
0.0000 0.5000 0.5000
0.5000 0.0000 0.5000
0.5000 0.5000 0.0000
0.0000 0.0000 0.5000
0.0000 0.5000 0.0000
0.5000 0.0000 0.0000
0.5000 0.5000 0.5000
```

=====

The following is a theoretical powder XRD pattern of CeSi2Ir. It was derived from a structure optimized by DFT (GGA-PBE), using Cu Kα (λ = 1.5418 Å).
Neutral-atom scattering factors, no anomalous dispersion.

Largest 8 diffraction maxima, sorted by position, 10 to 80 degrees two-theta:
2theta	I_rel
10.51	39
30.11	48
30.58	100
34.13	84
38.64	21
42.98	28
43.22	27
56.17	28

Atomic structure:
```
CeSi2Ir
1.0
4.2090 0.0000 0.0000
0.0000 16.8297 0.0000
0.0000 0.0000 4.1865
Ce Si Ir
4 8 4
Direct
0.0000 0.1061 0.2500
0.0000 0.8939 0.7500
0.5000 0.3939 0.7500
0.5000 0.6061 0.2500
0.0000 0.2493 0.7500
0.0000 0.4638 0.2500
0.0000 0.5362 0.7500
0.0000 0.7507 0.2500
0.5000 0.0362 0.7500
0.5000 0.2507 0.2500
0.5000 0.7493 0.7500
0.5000 0.9638 0.2500
0.0000 0.3230 0.2500
0.0000 0.6770 0.7500
0.5000 0.1770 0.7500
0.5000 0.8230 0.2500
```

=====

The following is a theoretical powder XRD pattern of Nd3TaCl3O6. It was derived from a structure optimized by DFT (GGA-PBE), using Cu Kα (λ = 1.5418 Å).
Neutral-atom scattering factors, no anomalous dispersion.

Largest 8 diffraction maxima, sorted by position, 10 to 80 degrees two-theta:
2theta	I_rel
10.76	54
25.13	56
27.41	58
28.72	36
33.38	100
33.68	29
44.83	38
51.39	36

Atomic structure:
```
Nd3TaCl3O6
1.0
9.4951 0.0000 0.0000
-4.7476 8.2230 0.0000
0.0000 0.0000 5.3229
Nd Ta Cl O
6 2 6 12
Direct
0.0898 0.6861 0.2500
0.3139 0.4037 0.2500
0.4037 0.0898 0.7500
0.5963 0.9102 0.2500
0.6861 0.5963 0.7500
0.9102 0.3139 0.7500
0.3333 0.6667 0.7500
0.6667 0.3333 0.2500
0.0503 0.8099 0.7500
0.1901 0.2404 0.7500
0.2404 0.0503 0.2500
0.7596 0.9497 0.7500
0.8099 0.7596 0.2500
0.9497 0.1901 0.2500
0.1570 0.5215 0.5121
0.1570 0.5215 0.9879
0.3645 0.8430 0.5121
0.3645 0.8430 0.9879
0.4785 0.6355 0.5121
0.4785 0.6355 0.9879
0.5215 0.3645 0.0121
0.5215 0.3645 0.4879
0.6355 0.1570 0.0121
0.6355 0.1570 0.4879
0.8430 0.4785 0.0121
0.8430 0.4785 0.4879
```

=====

The following is a theoretical powder XRD pattern of SiO2. It was derived from a structure optimized by DFT (GGA-PBE), using Cu Kα (λ = 1.5418 Å).
Neutral-atom scattering factors, no anomalous dispersion.

Largest 8 diffraction maxima, sorted by position, 10 to 80 degrees two-theta:
2theta	I_rel
19.87	100
21.25	87
22.05	76
23.06	68
24.28	72
25.89	49
27.83	53
38.37	22

Atomic structure:
```
SiO2
1.0
13.2197 0.0000 0.0000
0.0000 13.2197 0.0000
0.0000 0.0000 5.0879
Si O
17 34
Direct
0.0000 0.0000 0.0000
0.0494 0.2153 0.2314
0.1163 0.5173 0.7741
0.1492 0.6502 0.2556
0.1687 0.2882 0.7339
0.2153 0.9506 0.7686
0.2882 0.8313 0.2661
0.3498 0.1492 0.7444
0.4827 0.1163 0.2259
0.5173 0.8837 0.2259
0.6502 0.8508 0.7444
0.7118 0.1687 0.2661
0.7847 0.0494 0.7686
0.8313 0.7118 0.7339
0.8508 0.3498 0.2556
0.8837 0.4827 0.7741
0.9506 0.7847 0.2314
0.0000 0.5000 0.8701
0.0315 0.0946 0.1884
0.0566 0.7259 0.1780
0.0892 0.2354 0.5298
0.0946 0.9685 0.8116
0.1163 0.5864 0.5125
0.1353 0.2576 0.0311
0.1702 0.4105 0.7040
0.1753 0.5741 0.0128
0.2354 0.9108 0.4702
0.2497 0.7165 0.3210
0.2576 0.8647 0.9689
0.2741 0.0566 0.8220
0.2835 0.2497 0.6790
0.4105 0.8298 0.2960
0.4136 0.1163 0.4875
0.4259 0.1753 0.9872
0.5000 0.0000 0.1299
0.5741 0.8247 0.9872
0.5864 0.8837 0.4875
0.5895 0.1702 0.2960
0.7165 0.7503 0.6790
0.7259 0.9434 0.8220
0.7424 0.1353 0.9689
0.7503 0.2835 0.3210
0.7646 0.0892 0.4702
0.8247 0.4259 0.0128
0.8298 0.5895 0.7040
0.8647 0.7424 0.0311
0.8837 0.4136 0.5125
0.9054 0.0315 0.8116
0.9108 0.7646 0.5298
0.9434 0.2741 0.1780
0.9685 0.9054 0.1884
```

=====

The following is a theoretical powder XRD pattern of PPbO3. It was derived from a structure optimized by DFT (GGA-PBE), using Cu Kα (λ = 1.5418 Å).
Neutral-atom scattering factors, no anomalous dispersion.

Largest 8 diffraction maxima, sorted by position, 10 to 80 degrees two-theta:
2theta	I_rel
19.91	54
22.70	26
24.97	21
26.88	100
29.61	26
31.30	25
31.59	22
40.68	23

Atomic structure:
```
PPbO3
1.0
5.6647 -7.2364 0.0000
5.6647 7.2364 0.0000
0.0000 0.0000 8.1958
P Pb O
8 8 24
Direct
0.2034 0.7966 0.5000
0.2112 0.2735 0.8560
0.2735 0.2112 0.3560
0.2974 0.7026 0.9602
0.7026 0.2974 0.4602
0.7265 0.7888 0.8560
0.7888 0.7265 0.3560
0.7966 0.2034 0.0000
0.0514 0.4948 0.2617
0.0771 0.9229 0.0835
0.4616 0.5384 0.5908
0.4948 0.0514 0.7617
0.5052 0.9486 0.2617
0.5384 0.4616 0.0908
0.9229 0.0771 0.5835
0.9486 0.5052 0.7617
0.1009 0.1735 0.3369
0.1229 0.6528 0.9770
0.1236 0.3472 0.7306
0.1374 0.6332 0.5587
0.1735 0.1009 0.8369
0.1992 0.8008 0.3102
0.3472 0.1236 0.2306
0.3472 0.3830 0.3461
0.3472 0.8771 0.9770
0.3668 0.8626 0.5587
0.3757 0.6243 0.0881
0.3830 0.3472 0.8461
0.6170 0.6528 0.3461
0.6243 0.3757 0.5881
0.6332 0.1374 0.0587
0.6528 0.1229 0.4770
0.6528 0.6170 0.8461
0.6528 0.8764 0.7306
0.8008 0.1992 0.8102
0.8265 0.8991 0.3369
0.8626 0.3668 0.0587
0.8764 0.6528 0.2306
0.8771 0.3472 0.4770
0.8991 0.8265 0.8369
```